[1]
Structure and theoretical powder diffraction line list of SbPd4Au3 (a cell relaxed with GGA-PBE; a wavelength of 1.5418 Å).
No peak broadening, texture or thermal motion is included.

Main lines, most intense first (2θ = 10–90°):
38.3°, d = 2.348 Å, rel. 100, hkl 0 2 4
38.5°, d = 2.338 Å, rel. 99, hkl 2 0 4
41.7°, d = 2.167 Å, rel. 79, hkl 2 2 0
67.2°, d = 1.393 Å, rel. 38, hkl 2 2 8
73.7°, d = 1.285 Å, rel. 29, hkl 2 4 4
74.1°, d = 1.280 Å, rel. 29, hkl 4 2 4
50.2°, d = 1.818 Å, rel. 23, hkl 0 0 8
60.2°, d = 1.538 Å, rel. 13, hkl 0 4 0
60.7°, d = 1.527 Å, rel. 13, hkl 4 0 0
82.1°, d = 1.174 Å, rel. 11, hkl 0 4 8

Crystal structure
```
data_SbPd4Au3
_space_group_name_H-M_alt 'F m m m'
_space_group_IT_number 69
_space_group_name_Hall '-F 2 2'
_cell_length_a 6.107
_cell_length_b 6.151
_cell_length_c 14.540
_cell_angle_alpha 90.00
_cell_angle_beta 90.00
_cell_angle_gamma 90.00
loop_
_atom_site_label
_atom_site_fract_x
_atom_site_fract_y
_atom_site_fract_z
Sb1 0.000 0.000 0.000
Pd1 0.250 0.250 0.122
Au1 0.000 0.000 0.252
Au2 0.000 0.000 0.500
```

=====

[2]
Structure and theoretical powder diffraction line list of Sb3Pd8Au2 (a cell relaxed with GGA-PBE; a wavelength of 1.5418 Å).
No peak broadening, texture or thermal motion is included.

Main lines, most intense first (2θ = 10–90°):
38.7°, d = 2.327 Å, rel. 100, hkl 0 1 11
33.5°, d = 2.677 Å, rel. 71, hkl 1 1 0
39.3°, d = 2.290 Å, rel. 64, hkl 2 0 2
41.9°, d = 2.158 Å, rel. 56, hkl 2 0 5
63.3°, d = 1.468 Å, rel. 47, hkl 1 2 11
34.7°, d = 2.583 Å, rel. 44, hkl 1 1 3
70.3°, d = 1.338 Å, rel. 37, hkl 2 2 0
44.6°, d = 2.033 Å, rel. 34, hkl 0 2 7
43.6°, d = 2.076 Å, rel. 29, hkl 1 1 9
38.3°, d = 2.353 Å, rel. 23, hkl 1 1 6

Crystal structure
```
data_Sb3Pd8Au2
_space_group_name_H-M_alt 'R -3 m'
_space_group_IT_number 166
_space_group_name_Hall '-R 3 2"'
_cell_length_a 5.3536
_cell_length_b 5.3536
_cell_length_c 29.5905
_cell_angle_alpha 90.00
_cell_angle_beta 90.00
_cell_angle_gamma 120.00
loop_
_atom_site_label
_atom_site_fract_x
_atom_site_fract_y
_atom_site_fract_z
Sb1 0.0000 0.0000 0.0000
Sb2 0.0000 0.0000 0.1908
Pd1 0.0000 0.0000 0.2773
Pd2 0.9999 0.5000 0.2201
Au1 0.0000 0.0000 0.3672
```

=====

[3]
Structure and theoretical powder diffraction line list of SbPd6Au (a cell relaxed with GGA-PBE; a wavelength of 1.5418 Å).
No peak broadening, texture or thermal motion is included.

Main lines, most intense first (2θ = 10–90°):
41.5°, d = 2.177 Å, rel. 100, hkl 2 0 1
38.7°, d = 2.329 Å, rel. 27, hkl 0 0 2
36.5°, d = 2.462 Å, rel. 24, hkl 2 0 0
78.9°, d = 1.213 Å, rel. 20, hkl 2 2 2
71.9°, d = 1.313 Å, rel. 19, hkl 2 0 3
65.7°, d = 1.422 Å, rel. 17, hkl 2 2 0
54.2°, d = 1.692 Å, rel. 15, hkl 2 0 2
80.7°, d = 1.190 Å, rel. 14, hkl 4 0 1
26.3°, d = 3.384 Å, rel. 4, hkl 1 0 1
18.0°, d = 4.925 Å, rel. 4, hkl 1 0 0

Crystal structure
```
data_SbPd6Au
_space_group_name_H-M_alt 'P -6 m 2'
_space_group_IT_number 187
_space_group_name_Hall 'P -6 2'
_cell_length_a 5.6867
_cell_length_b 5.6867
_cell_length_c 4.6574
_cell_angle_alpha 90.00
_cell_angle_beta 90.00
_cell_angle_gamma 120.00
loop_
_atom_site_label
_atom_site_fract_x
_atom_site_fract_y
_atom_site_fract_z
Sb1 0.0000 0.0000 0.0000
Pd1 0.9995 0.4998 0.0000
Pd2 0.3348 0.1674 0.5000
Au1 0.3333 0.6667 0.5000
```